TmSi3Os: simulated powder XRD pattern (copper Kα), based on a structure optimized by DFT (PBE).

The 12 most intense peaks (10 to 80 degrees two-theta), sorted by position:
hkl 0 0 1, 15.60 deg, intensity 1000; hkl 1 0 -1, 20.14 deg, intensity 204; hkl 1 1 1, 29.86 deg, intensity 384; hkl 1 0 -2, 32.42 deg, intensity 712; hkl 0 2 1, 36.21 deg, intensity 342; hkl 2 1 0, 37.00 deg, intensity 540; hkl 2 1 -1, 37.41 deg, intensity 351; hkl 1 2 -1, 38.50 deg, intensity 220; hkl 1 1 2, 42.24 deg, intensity 431; hkl 2 1 1, 43.18 deg, intensity 163; hkl 1 2 -2, 46.51 deg, intensity 333; hkl 2 3 0, 60.92 deg, intensity 151

Crystal structure
abc: 5.536 5.516 5.809
angles: 90.00 102.15 90.00
Sites, in units of the cell vectors:
Tm: 0.098 0.250 0.326
Tm: 0.902 0.750 0.674
Si: 0.011 0.250 0.819
Si: 0.399 0.022 0.795
Si: 0.399 0.478 0.795
Si: 0.601 0.522 0.205
Si: 0.601 0.978 0.205
Si: 0.989 0.750 0.181
Os: 0.372 0.750 0.468
Os: 0.628 0.250 0.532